Structure and theoretical X-ray powder pattern of Cs4PtS4 (the GGA-PBE geometry in OQMD; Cu Ka).

Structure:
Lattice parameters (Å, degrees): 7.0220 7.0220 7.2448 99.78 99.78 69.79
Element x y z (fractional)
Cs 0.1239 0.1239 0.3230
Cs 0.3270 0.3270 0.8620
Cs 0.6730 0.6730 0.1380
Cs 0.8761 0.8761 0.6770
Pt 0.5000 0.5000 0.5000
S 0.1906 0.6019 0.3036
S 0.3981 0.8094 0.6964
S 0.6019 0.1906 0.3036
S 0.8094 0.3981 0.6964

Main lines, sorted by position (2θ from 10° to 90°):
d_spacing  Position (°2θ)  Rel. int.
7.088  12.5  19
6.542  13.5  22
4.020  22.1  100
3.321  26.8  87
3.286  27.1  75
2.843  31.5  74
2.158  41.9  17
2.149  42.0  25
2.141  42.2  24
2.010  45.1  23

=====

Structure and theoretical X-ray powder pattern of Cs2Te2PtS (the GGA-PBE geometry in OQMD; Cu Ka).

Structure:
Lattice parameters (Å, degrees): 7.9015 7.9015 10.2612 110.91 110.91 57.42
Element x y z (fractional)
Cs 0.0810 0.0810 0.3373
Cs 0.3080 0.3080 0.1572
Cs 0.6920 0.6920 0.8428
Cs 0.9190 0.9190 0.6627
Te 0.2147 0.2147 0.7421
Te 0.3852 0.3852 0.5906
Te 0.6148 0.6148 0.4094
Te 0.7853 0.7853 0.2579
Pt 0.4219 0.4219 0.8619
Pt 0.5781 0.5781 0.1381
S 0.2578 0.7422 0.0000
S 0.7422 0.2578 0.0000

Main lines, sorted by position (2θ from 10° to 90°):
d_spacing  Position (°2θ)  Rel. int.
6.649  13.3  22
6.511  13.6  44
5.964  14.9  50
3.796  23.4  100
3.455  25.8  60
3.405  26.2  20
3.079  29.0  26
2.956  30.2  51
2.555  35.1  41
1.898  47.9  20

=====

Structure and theoretical X-ray powder pattern of CsSn5Pt3 (the GGA-PBE geometry in OQMD; Cu Ka).

Structure:
Lattice parameters (Å, degrees): 5.5865 5.5865 9.2177 90.00 90.00 120.00
Element x y z (fractional)
Cs 0.0000 0.0000 0.0000
Sn 0.0000 0.0000 0.5000
Sn 0.3333 0.6667 0.2415
Sn 0.3333 0.6667 0.7585
Sn 0.6667 0.3333 0.2415
Sn 0.6667 0.3333 0.7585
Pt 0.0000 0.5000 0.5000
Pt 0.5000 0.0000 0.5000
Pt 0.5000 0.5000 0.5000

Main lines, sorted by position (2θ from 10° to 90°):
d_spacing  Position (°2θ)  Rel. int.
3.337  26.7  27
2.793  32.0  28
2.419  37.2  21
2.389  37.7  22
2.340  38.5  38
2.304  39.1  31
2.142  42.2  100
1.397  67.0  20
1.297  72.9  21
1.194  80.4  24

=====

Structure and theoretical X-ray powder pattern of Cs2Ta2Pt3 (the GGA-PBE geometry in OQMD; Cu Ka).

Structure:
Lattice parameters (Å, degrees): 12.0420 12.0420 12.0420 21.63 21.63 21.63
Element x y z (fractional)
Cs 0.0000 0.0000 0.0000
Cs 0.4238 0.4238 0.4238
Ta 0.1883 0.1883 0.1883
Ta 0.5846 0.5846 0.5846
Pt 0.2635 0.2635 0.2635
Pt 0.5123 0.5123 0.5123
Pt 0.8881 0.8881 0.8881

Main lines, sorted by position (2θ from 10° to 90°):
d_spacing  Position (°2θ)  Rel. int.
5.878  15.1  21
3.091  28.9  21
2.939  30.4  22
2.927  30.5  18
2.620  34.2  38
2.259  39.9  100
2.230  40.5  43
2.219  40.7  47
1.921  47.3  21
1.791  51.0  35